Starting from the PBE geometry in the Materials Project, the powder diffraction line list of AlC6 was computed for a wavelength of 1.5418 Å.
Intensities are scaled so that the largest is 100.

Top 10 peaks for 15 to 90 degrees two-theta, by angle:
- 2θ = 16.56°, I = 100
- 2θ = 23.51°, I = 6
- 2θ = 28.90°, I = 5
- 2θ = 33.49°, I = 23
- 2θ = 37.58°, I = 15
- 2θ = 48.09°, I = 7
- 2θ = 51.21°, I = 9
- 2θ = 54.20°, I = 8
- 2θ = 62.58°, I = 8
- 2θ = 65.23°, I = 4

Structure:
a b c (Å): 5.3516 5.3516 5.3516
angles (deg): 90.00 90.00 90.00
Fractional positions:
Al  0.0000  0.0000  0.0000
C  0.0000  0.0000  0.3805
C  0.0000  0.0000  0.6195
C  0.0000  0.3805  0.0000
C  0.0000  0.6195  0.0000
C  0.3805  0.0000  0.0000
C  0.6195  0.0000  0.0000

***

Starting from the PBE geometry in the Materials Project, the powder diffraction line list of Ba3SiS5 was computed for a wavelength of 1.5418 Å.
Intensities are scaled so that the largest is 100.

Top 10 peaks for 15 to 90 degrees two-theta, by angle:
- 2θ = 21.72°, I = 36
- 2θ = 22.47°, I = 45
- 2θ = 23.69°, I = 100
- 2θ = 24.27°, I = 85
- 2θ = 28.73°, I = 91
- 2θ = 30.76°, I = 49
- 2θ = 31.23°, I = 39
- 2θ = 31.50°, I = 40
- 2θ = 37.67°, I = 39
- 2θ = 43.12°, I = 52

Structure:
a b c (Å): 12.1342 9.5518 8.6930
angles (deg): 90.00 90.00 90.00
Fractional positions:
Ba  0.0197  0.2500  0.1140
Ba  0.1826  0.0197  0.5778
Ba  0.1826  0.4803  0.5778
Ba  0.3174  0.5197  0.0778
Ba  0.3174  0.9803  0.0778
Ba  0.4803  0.7500  0.6140
Ba  0.5197  0.2500  0.3860
Ba  0.6826  0.0197  0.9222
Ba  0.6826  0.4803  0.9222
Ba  0.8174  0.5197  0.4222
Ba  0.8174  0.9803  0.4222
Ba  0.9803  0.7500  0.8860
Si  0.0969  0.7500  0.3059
Si  0.4031  0.2500  0.8059
Si  0.5969  0.7500  0.1941
Si  0.9031  0.2500  0.6941
S  0.0052  0.7500  0.5135
S  0.0553  0.5659  0.1834
S  0.0553  0.9341  0.1834
S  0.2293  0.2500  0.8504
S  0.2344  0.7500  0.8179
S  0.2656  0.2500  0.3179
S  0.2707  0.7500  0.3504
S  0.4447  0.0659  0.6834
S  0.4447  0.4341  0.6834
S  0.4948  0.2500  0.0135
S  0.5052  0.7500  0.9865
S  0.5553  0.5659  0.3166
S  0.5553  0.9341  0.3166
S  0.7293  0.2500  0.6496
S  0.7344  0.7500  0.6821
S  0.7656  0.2500  0.1821
S  0.7707  0.7500  0.1496
S  0.9447  0.0659  0.8166
S  0.9447  0.4341  0.8166
S  0.9948  0.2500  0.4865

***

Starting from the PBE geometry in the Materials Project, the powder diffraction line list of Sc4S3N2 was computed for a wavelength of 1.5418 Å.
Intensities are scaled so that the largest is 100.

Top 10 peaks for 15 to 90 degrees two-theta, by angle:
- 2θ = 24.02°, I = 29
- 2θ = 27.88°, I = 57
- 2θ = 31.62°, I = 51
- 2θ = 31.94°, I = 53
- 2θ = 34.96°, I = 70
- 2θ = 41.73°, I = 36
- 2θ = 42.21°, I = 32
- 2θ = 42.90°, I = 100
- 2θ = 51.34°, I = 31
- 2θ = 65.47°, I = 21

Structure:
a b c (Å): 6.4004 13.6316 3.5593
angles (deg): 90.00 90.00 90.00
Fractional positions:
Sc  0.2045  0.0637  0.0000
Sc  0.2068  0.8466  0.5000
Sc  0.2932  0.3466  0.0000
Sc  0.2955  0.5637  0.5000
Sc  0.7045  0.4363  0.5000
Sc  0.7068  0.6534  0.0000
Sc  0.7932  0.1534  0.5000
Sc  0.7955  0.9363  0.0000
S  0.0000  0.5000  0.0000
S  0.1866  0.2064  0.5000
S  0.3134  0.7064  0.0000
S  0.5000  0.0000  0.5000
S  0.6866  0.2936  0.0000
S  0.8134  0.7936  0.5000
N  0.1202  0.9173  0.0000
N  0.3798  0.4173  0.5000
N  0.6202  0.5827  0.5000
N  0.8798  0.0827  0.0000

***

Starting from the PBE geometry in the Materials Project, the powder diffraction line list of NaSbO7 was computed for a wavelength of 1.5418 Å.
Intensities are scaled so that the largest is 100.

Top 10 peaks for 15 to 90 degrees two-theta, by angle:
- 2θ = 15.83°, I = 70
- 2θ = 20.07°, I = 79
- 2θ = 20.49°, I = 100
- 2θ = 26.03°, I = 25
- 2θ = 26.95°, I = 57
- 2θ = 27.90°, I = 27
- 2θ = 30.00°, I = 33
- 2θ = 37.82°, I = 65
- 2θ = 38.52°, I = 46
- 2θ = 56.13°, I = 26

Structure:
a b c (Å): 6.6212 6.6212 6.8473
angles (deg): 90.00 90.00 122.24
Fractional positions:
Na  0.1828  0.8172  0.5000
Na  0.8172  0.1828  0.0000
Sb  0.1426  0.8574  0.9786
Sb  0.8575  0.1425  0.4786
O  0.0028  0.9972  0.8206
O  0.0142  0.4480  0.3343
O  0.1140  0.3500  0.6749
O  0.3500  0.1140  0.1749
O  0.3942  0.6058  0.1149
O  0.4480  0.0142  0.8343
O  0.4780  0.5220  0.0078
O  0.5220  0.4780  0.5078
O  0.5520  0.9858  0.3343
O  0.6058  0.3942  0.6149
O  0.6500  0.8860  0.6749
O  0.8860  0.6500  0.1749
O  0.9858  0.5520  0.8343
O  0.9972  0.0028  0.3206